# 1
Structure and theoretical powder XRD pattern of Sr2USbO6 (the PBE geometry in Alexandria; copper Kα).

Top 12 peaks for 2θ = 5–70°, by intensity:
| Position (°2θ) | d/Å | I (rel.) |
| --- | --- | --- |
| 28.34 | 3.149 | 100.0 |
| 29.24 | 3.054 | 50.8 |
| 51.30 | 1.781 | 39.9 |
| 41.83 | 2.160 | 30.8 |
| 19.30 | 4.600 | 22.0 |
| 20.56 | 4.319 | 21.1 |
| 49.62 | 1.837 | 18.6 |
| 44.64 | 2.030 | 17.4 |
| 58.64 | 1.574 | 14.0 |
| 62.82 | 1.479 | 12.5 |
| 14.50 | 6.109 | 12.1 |
| 39.17 | 2.300 | 11.8 |

Structural model:
```
data_Sr2USbO6
_cell_length_a 6.109
_cell_length_b 6.109
_cell_length_c 4.600
_cell_angle_alpha 90.00
_cell_angle_beta 90.00
_cell_angle_gamma 90.00
_space_group_name_H-M_alt 'P 1'
_space_group_IT_number 1
_space_group_name_Hall 'P 1'
loop_
_atom_site_label
_atom_site_type_symbol
_atom_site_fract_x
_atom_site_fract_y
_atom_site_fract_z
Sr1 Sr 0.000 0.500 0.000
Sr2 Sr 0.500 0.000 0.000
U1 U 0.000 0.000 0.604
Sb1 Sb 0.500 0.500 0.599
O1 O 0.000 0.000 0.118
O2 O 0.241 0.241 0.657
O3 O 0.241 0.759 0.657
O4 O 0.500 0.500 0.030
O5 O 0.759 0.241 0.657
O6 O 0.759 0.759 0.657
```

---

# 2
Structure and theoretical powder XRD pattern of CaLaI5 (the PBE geometry in Alexandria; copper Kα).

Top 12 peaks for 2θ = 5–70°, by intensity:
| Position (°2θ) | d/Å | I (rel.) |
| --- | --- | --- |
| 26.82 | 3.324 | 100.0 |
| 11.26 | 7.861 | 98.1 |
| 27.88 | 3.200 | 88.8 |
| 29.96 | 2.982 | 72.0 |
| 25.22 | 3.532 | 68.1 |
| 35.97 | 2.497 | 67.6 |
| 26.55 | 3.357 | 60.2 |
| 36.19 | 2.482 | 53.3 |
| 48.88 | 1.863 | 39.2 |
| 40.07 | 2.250 | 37.7 |
| 9.65 | 9.170 | 37.1 |
| 39.61 | 2.275 | 34.4 |

Structural model:
```
data_CaLaI5
_cell_length_a 8.177
_cell_length_b 8.177
_cell_length_c 18.339
_cell_angle_alpha 90.00
_cell_angle_beta 90.00
_cell_angle_gamma 148.05
_space_group_name_H-M_alt 'P 1'
_space_group_IT_number 1
_space_group_name_Hall 'P 1'
loop_
_atom_site_label
_atom_site_type_symbol
_atom_site_fract_x
_atom_site_fract_y
_atom_site_fract_z
Ca1 Ca 0.000 0.000 0.000
Ca2 Ca 0.000 0.000 0.500
La1 La 0.489 0.511 0.750
La2 La 0.511 0.489 0.250
I1 I 0.098 0.902 0.650
I2 I 0.098 0.902 0.850
I3 I 0.153 0.847 0.250
I4 I 0.394 0.606 0.575
I5 I 0.394 0.606 0.925
I6 I 0.606 0.394 0.075
I7 I 0.606 0.394 0.425
I8 I 0.847 0.153 0.750
I9 I 0.902 0.098 0.150
I10 I 0.902 0.098 0.350
```